(1)
For SrTi4O6, a crystal structure in Alexandria, relaxed with PBE gives the theoretical PXRD pattern in this record (a wavelength of 1.5418 Å).

Atomic structure:
```
data_SrTi4O6
_chemical_formula_sum 'Sr1 Ti4 O6'
_cell_length_a 4.0118
_cell_length_b 4.0118
_cell_length_c 8.1672
_cell_angle_alpha 90.00
_cell_angle_beta 90.00
_cell_angle_gamma 90.00
_symmetry_space_group_name_H-M 'P 1'
_symmetry_Int_Tables_number 1
_symmetry_space_group_name_Hall 'P 1'
loop_
_atom_site_label
_atom_site_fract_x
_atom_site_fract_y
_atom_site_fract_z
_atom_site_occupancy
Sr1 0.0000 0.0000 0.0000 1
Ti1 0.0000 0.5000 0.5000 1
Ti2 0.5000 0.0000 0.5000 1
Ti3 0.5000 0.5000 0.2361 1
Ti4 0.5000 0.5000 0.7639 1
O1 0.0000 0.0000 0.5000 1
O2 0.0000 0.5000 0.2444 1
O3 0.0000 0.5000 0.7556 1
O4 0.5000 0.0000 0.2444 1
O5 0.5000 0.0000 0.7556 1
O6 0.5000 0.5000 0.0000 1
```

Top 6 peaks for 2θ from 15° to 90°, in order of rising 2θ:
2θ 31.25, rel. 100; 2θ 33.44, rel. 90; 2θ 44.37, rel. 36; 2θ 45.20, rel. 71; 2θ 55.98, rel. 35; 2θ 65.20, rel. 40



(2)
For Al4BrF2, a crystal structure in Alexandria, relaxed with PBE gives the theoretical PXRD pattern in this record (a wavelength of 1.5418 Å).

Atomic structure:
```
data_Al4BrF2
_chemical_formula_sum 'Al4 Br1 F2'
_cell_length_a 7.8487
_cell_length_b 7.8487
_cell_length_c 7.8487
_cell_angle_alpha 138.15
_cell_angle_beta 138.15
_cell_angle_gamma 60.67
_symmetry_space_group_name_H-M 'P 1'
_symmetry_Int_Tables_number 1
_symmetry_space_group_name_Hall 'P 1'
loop_
_atom_site_label
_atom_site_fract_x
_atom_site_fract_y
_atom_site_fract_z
_atom_site_occupancy
Al1 0.0000 0.5000 0.5000 1
Al2 0.2287 0.2287 0.0000 1
Al3 0.5000 0.0000 0.5000 1
Al4 0.7713 0.7713 0.0000 1
Br1 0.5000 0.5000 0.0000 1
F1 0.0998 0.0998 0.0000 1
F2 0.9002 0.9002 0.0000 1
```

Top 6 peaks for 2θ from 15° to 90°, in order of rising 2θ:
2θ 22.43, rel. 71; 2θ 25.32, rel. 93; 2θ 26.31, rel. 36; 2θ 31.93, rel. 100; 2θ 41.18, rel. 48; 2θ 41.83, rel. 40



(3)
For Th2NiGe3, a crystal structure in Alexandria, relaxed with PBE gives the theoretical PXRD pattern in this record (a wavelength of 1.5418 Å).

Atomic structure:
```
data_Th2NiGe3
_chemical_formula_sum 'Th2 Ni1 Ge3'
_cell_length_a 4.1809
_cell_length_b 4.2541
_cell_length_c 7.1916
_cell_angle_alpha 90.00
_cell_angle_beta 90.00
_cell_angle_gamma 90.00
_symmetry_space_group_name_H-M 'P 1'
_symmetry_Int_Tables_number 1
_symmetry_space_group_name_Hall 'P 1'
loop_
_atom_site_label
_atom_site_fract_x
_atom_site_fract_y
_atom_site_fract_z
_atom_site_occupancy
Th1 0.0000 0.0000 0.0000 1
Th2 0.0000 0.5000 0.4896 1
Ni1 0.5000 0.0000 0.3168 1
Ge1 0.5000 0.0000 0.6386 1
Ge2 0.5000 0.5000 0.1759 1
Ge3 0.5000 0.5000 0.8269 1
```

Top 6 peaks for 2θ from 15° to 90°, in order of rising 2θ:
2θ 24.31, rel. 26; 2θ 32.51, rel. 100; 2θ 32.85, rel. 49; 2θ 43.31, rel. 52; 2θ 54.74, rel. 23; 2θ 62.90, rel. 23



(4)
For RbY3Ag2Te6, a crystal structure in Alexandria, relaxed with PBE gives the theoretical PXRD pattern in this record (a wavelength of 1.5418 Å).

Atomic structure:
```
data_RbY3Ag2Te6
_chemical_formula_sum 'Rb1 Y3 Ag2 Te6'
_cell_length_a 11.6710
_cell_length_b 11.6710
_cell_length_c 9.7674
_cell_angle_alpha 114.27
_cell_angle_beta 114.27
_cell_angle_gamma 22.45
_symmetry_space_group_name_H-M 'P 1'
_symmetry_Int_Tables_number 1
_symmetry_space_group_name_Hall 'P 1'
loop_
_atom_site_label
_atom_site_fract_x
_atom_site_fract_y
_atom_site_fract_z
_atom_site_occupancy
Rb1 0.0000 0.0000 0.0000 1
Y1 0.0000 0.0000 0.5000 1
Y2 0.3362 0.3362 0.4747 1
Y3 0.6638 0.6638 0.5253 1
Ag1 0.2646 0.2646 0.7247 1
Ag2 0.7354 0.7354 0.2753 1
Te1 0.1447 0.1447 0.7221 1
Te2 0.1741 0.1741 0.3013 1
Te3 0.4777 0.4777 0.6879 1
Te4 0.5223 0.5223 0.3121 1
Te5 0.8259 0.8259 0.6987 1
Te6 0.8553 0.8553 0.2779 1
```

Top 6 peaks for 2θ from 15° to 90°, in order of rising 2θ:
2θ 25.71, rel. 37; 2θ 27.17, rel. 100; 2θ 33.87, rel. 39; 2θ 34.44, rel. 44; 2θ 39.67, rel. 38; 2θ 40.85, rel. 53



(5)
For CeZnCdIn, a crystal structure in Alexandria, relaxed with PBE gives the theoretical PXRD pattern in this record (a wavelength of 1.5418 Å).

Atomic structure:
```
data_CeZnCdIn
_chemical_formula_sum 'Ce1 Zn1 Cd1 In1'
_cell_length_a 5.0819
_cell_length_b 5.0819
_cell_length_c 5.0819
_cell_angle_alpha 120.10
_cell_angle_beta 120.10
_cell_angle_gamma 89.83
_symmetry_space_group_name_H-M 'P 1'
_symmetry_Int_Tables_number 1
_symmetry_space_group_name_Hall 'P 1'
loop_
_atom_site_label
_atom_site_fract_x
_atom_site_fract_y
_atom_site_fract_z
_atom_site_occupancy
Ce1 0.0000 0.0000 0.0000 1
Zn1 0.2500 0.7500 0.5000 1
Cd1 0.7500 0.2500 0.5000 1
In1 0.5000 0.5000 0.0000 1
```

Top 6 peaks for 2θ from 15° to 90°, in order of rising 2θ:
2θ 35.34, rel. 100; 2θ 50.90, rel. 12; 2θ 63.37, rel. 12; 2θ 63.47, rel. 23; 2θ 74.72, rel. 7; 2θ 85.58, rel. 10



(6)
For Cs3HoTa2O8, a crystal structure in Alexandria, relaxed with PBE gives the theoretical PXRD pattern in this record (a wavelength of 1.5418 Å).

Atomic structure:
```
data_Cs3HoTa2O8
_chemical_formula_sum 'Cs3 Ho1 Ta2 O8'
_cell_length_a 6.3491
_cell_length_b 6.3491
_cell_length_c 8.5351
_cell_angle_alpha 90.00
_cell_angle_beta 90.00
_cell_angle_gamma 120.00
_symmetry_space_group_name_H-M 'P 1'
_symmetry_Int_Tables_number 1
_symmetry_space_group_name_Hall 'P 1'
loop_
_atom_site_label
_atom_site_fract_x
_atom_site_fract_y
_atom_site_fract_z
_atom_site_occupancy
Cs1 0.0000 0.0000 0.0000 1
Cs2 0.3333 0.6667 0.7286 1
Cs3 0.6667 0.3333 0.2714 1
Ho1 0.0000 0.0000 0.5000 1
Ta1 0.3333 0.6667 0.2779 1
Ta2 0.6667 0.3333 0.7221 1
O1 0.1700 0.3401 0.3468 1
O2 0.1700 0.8300 0.3468 1
O3 0.3333 0.6667 0.0641 1
O4 0.3401 0.1700 0.6532 1
O5 0.6599 0.8300 0.3468 1
O6 0.6667 0.3333 0.9359 1
O7 0.8300 0.1700 0.6532 1
O8 0.8300 0.6599 0.6532 1
```

Top 6 peaks for 2θ from 15° to 90°, in order of rising 2θ:
2θ 26.44, rel. 92; 2θ 28.11, rel. 100; 2θ 38.97, rel. 35; 2θ 48.74, rel. 35; 2θ 49.75, rel. 21; 2θ 51.61, rel. 29